Theoretical X-ray powder pattern
Compound: NiMo2Cl
Radiation: Cu Kα (λ = 1.5418 Å)
Structure: a GGA-PBE-relaxed structure
Kinematic intensities with the Lorentz-polarization factor, no thermal factor.

Structure:
```
data_NiMo2Cl
_cell_length_a 3.2521
_cell_length_b 4.6979
_cell_length_c 8.0670
_cell_angle_alpha 90.00
_cell_angle_beta 90.00
_cell_angle_gamma 90.00
_symmetry_space_group_name_H-M 'C m m 2'
_symmetry_Int_Tables_number 35
loop_
_symmetry_equiv_pos_as_xyz
'x,y,z'
'-x,-y,z'
'-x,y,z'
'x,-y,z'
'x+1/2,y+1/2,z'
'-x+1/2,-y+1/2,z'
'-x+1/2,y+1/2,z'
'x+1/2,-y+1/2,z'
loop_
_atom_site_label
_atom_site_fract_x
_atom_site_fract_y
_atom_site_fract_z
Ni1 0.0000 0.0000 0.0000
Mo1 0.0000 0.0000 0.5151
Mo2 0.0000 0.5000 0.7696
Cl1 0.0000 0.5000 0.2514
```

Peak list (10 most intense, 10 to 80 degrees two-theta, by angle)
(hkl), d [Å], intensity
0 0 1, 8.067, 35
1 1 1, 2.538, 8
0 2 0, 2.349, 30
1 1 2, 2.229, 100
0 0 4, 2.017, 18
2 0 0, 1.626, 9
0 2 4, 1.530, 14
2 2 0, 1.337, 9
1 3 2, 1.332, 18
1 1 6, 1.201, 12